# 1
Structure and theoretical XRD peak list of HfTaP3O12 (a crystal structure in the Materials Project, relaxed with GGA-PBE; CuKα).
Neutral-atom scattering factors, no anomalous dispersion.

Top 10 peaks for 2θ = 10–80°, low angle first:
d 6.350, 2θ = 13.95°, rel. 31.8
d 4.562, 2θ = 19.46°, rel. 100.0
d 4.422, 2θ = 20.08°, rel. 86.7
d 3.819, 2θ = 23.29°, rel. 22.3
d 3.175, 2θ = 28.10°, rel. 54.2
d 2.876, 2θ = 31.10°, rel. 43.1
d 2.579, 2θ = 34.78°, rel. 36.5
d 2.553, 2θ = 35.15°, rel. 27.4
d 1.990, 2θ = 45.60°, rel. 21.0
d 1.787, 2θ = 51.11°, rel. 20.3

Atomic structure:
Lattice parameters (Å, degrees): 8.8436 8.8436 22.7200 90.00 90.00 120.00
Space group R3c (No. 161, hexagonal axes)
One atom of each set of equivalent atoms:
Hf  0.0000  0.0000  0.0000 x6
Ta  0.0000  0.0000  0.2851 x6
P  0.0044  0.2854  0.3921 x18
O  0.0214  0.2037  0.0486 x18
O  0.0347  0.1982  0.3371 x18
O  0.1598  0.4685  0.1130 x18
O  0.1710  0.4682  0.4022 x18

---

# 2
Structure and theoretical XRD peak list of HfPbO3 (a crystal structure in the Materials Project, relaxed with GGA-PBE; CuKα).
Neutral-atom scattering factors, no anomalous dispersion.

Top 10 peaks for 2θ = 10–80°, low angle first:
d 2.966, 2θ = 30.13°, rel. 17.6
d 2.948, 2θ = 30.32°, rel. 100.0
d 2.092, 2θ = 43.25°, rel. 17.9
d 2.076, 2θ = 43.60°, rel. 10.7
d 1.709, 2θ = 53.64°, rel. 11.2
d 1.702, 2θ = 53.86°, rel. 22.4
d 1.698, 2θ = 54.01°, rel. 8.3
d 1.474, 2θ = 63.07°, rel. 13.9
d 1.322, 2θ = 71.37°, rel. 6.9
d 1.314, 2θ = 71.85°, rel. 7.0

Atomic structure:
Lattice parameters (Å, degrees): 5.931 11.804 8.304 90.00 90.00 90.00
Space group Pba2 (No. 32)
One atom of each set of equivalent atoms:
Hf  0.243  0.121  0.000 x4
Hf  0.244  0.121  0.499 x4
Pb  0.202  0.361  0.761 x4
Pb  0.202  0.366  0.262 x4
O  0.000  0.000  0.003 x2
O  0.000  0.000  0.482 x2
O  0.000  0.500  0.005 x2
O  0.000  0.500  0.467 x2
O  0.028  0.259  0.979 x4
O  0.038  0.263  0.502 x4
O  0.217  0.621  0.745 x4
O  0.224  0.645  0.246 x4

---

# 3
Structure and theoretical XRD peak list of HfPbO3 (a crystal structure in the Materials Project, relaxed with GGA-PBE; CuKα).
Neutral-atom scattering factors, no anomalous dispersion.

Top 10 peaks for 2θ = 10–80°, low angle first:
d 3.056, 2θ = 29.22°, rel. 100.0
d 2.910, 2θ = 30.73°, rel. 20.9
d 2.869, 2θ = 31.18°, rel. 18.6
d 2.303, 2θ = 39.12°, rel. 11.4
d 2.043, 2θ = 44.34°, rel. 22.1
d 1.806, 2θ = 50.55°, rel. 8.7
d 1.796, 2θ = 50.85°, rel. 7.8
d 1.707, 2θ = 53.70°, rel. 18.9
d 1.690, 2θ = 54.27°, rel. 16.4
d 1.528, 2θ = 60.59°, rel. 11.5

Atomic structure:
Lattice parameters (Å, degrees): 5.820 11.475 9.210 90.00 90.00 90.00
Space group Pbam (No. 55)
One atom of each set of equivalent atoms:
Hf  0.246  0.123  0.217 x8
Pb  0.243  0.364  0.000 x4
Pb  0.250  0.391  0.500 x4
O  0.000  0.000  0.266 x4
O  0.000  0.500  0.252 x4
O  0.002  0.749  0.500 x4
O  0.010  0.752  0.179 x8
O  0.238  0.094  0.000 x4

---

# 4
Structure and theoretical XRD peak list of Hf8PbO24 (a crystal structure in the Materials Project, relaxed with GGA-PBE; CuKα).
Neutral-atom scattering factors, no anomalous dispersion.

Top 10 peaks for 2θ = 10–80°, low angle first:
d 4.138, 2θ = 21.48°, rel. 100.0
d 2.927, 2θ = 30.54°, rel. 82.6
d 2.920, 2θ = 30.61°, rel. 16.4
d 2.069, 2θ = 43.76°, rel. 33.7
d 1.853, 2θ = 49.18°, rel. 14.1
d 1.849, 2θ = 49.27°, rel. 28.1
d 1.692, 2θ = 54.22°, rel. 14.0
d 1.688, 2θ = 54.34°, rel. 20.7
d 1.463, 2θ = 63.61°, rel. 13.8
d 1.308, 2θ = 72.24°, rel. 11.9

Atomic structure:
Lattice parameters (Å, degrees): 16.551 8.271 9.240 90.00 116.36 90.00
Space group C2/m (No. 12)
One atom of each set of equivalent atoms:
Hf  0.064  0.245  0.246 x8
Hf  0.191  0.246  0.754 x8
Pb  0.000  0.500  0.500 x2
O  0.000  0.252  0.000 x4
O  0.059  0.263  0.737 x8
O  0.059  0.500  0.263 x4
O  0.062  0.000  0.251 x4
O  0.118  0.262  0.500 x8
O  0.178  0.500  0.738 x4
O  0.186  0.000  0.748 x4
O  0.188  0.250  0.253 x8
O  0.250  0.250  0.000 x4

---

# 5
Structure and theoretical XRD peak list of HfPbO3 (a crystal structure in the Materials Project, relaxed with GGA-PBE; CuKα).
Neutral-atom scattering factors, no anomalous dispersion.

Top 10 peaks for 2θ = 10–80°, low angle first:
d 2.919, 2θ = 30.63°, rel. 100.0
d 2.905, 2θ = 30.78°, rel. 19.8
d 2.070, 2θ = 43.74°, rel. 10.3
d 2.059, 2θ = 43.98°, rel. 19.6
d 1.687, 2θ = 54.39°, rel. 17.3
d 1.685, 2θ = 54.45°, rel. 16.2
d 1.680, 2θ = 54.63°, rel. 17.6
d 1.460, 2θ = 63.77°, rel. 15.4
d 1.308, 2θ = 72.21°, rel. 7.4
d 1.303, 2θ = 72.54°, rel. 10.2

Atomic structure:
Lattice parameters (Å, degrees): 5.837 8.279 5.810 90.00 90.00 90.00
Space group Pnma (No. 62)
One atom of each set of equivalent atoms:
Hf  0.000  0.000  0.000 x4
Pb  0.018  0.250  0.499 x4
O  0.009  0.750  0.060 x4
O  0.213  0.530  0.713 x8

---

# 6
Structure and theoretical XRD peak list of Hf6PbO18 (a crystal structure in the Materials Project, relaxed with GGA-PBE; CuKα).
Neutral-atom scattering factors, no anomalous dispersion.

Top 10 peaks for 2θ = 10–80°, low angle first:
d 4.141, 2θ = 21.46°, rel. 100.0
d 2.939, 2θ = 30.41°, rel. 20.3
d 2.928, 2θ = 30.53°, rel. 80.3
d 2.916, 2θ = 30.66°, rel. 19.8
d 2.071, 2θ = 43.72°, rel. 40.1
d 1.852, 2θ = 49.19°, rel. 28.2
d 1.694, 2θ = 54.13°, rel. 25.6
d 1.687, 2θ = 54.39°, rel. 25.1
d 1.464, 2θ = 63.54°, rel. 16.6
d 1.310, 2θ = 72.12°, rel. 14.7

Atomic structure:
Lattice parameters (Å, degrees): 11.758 8.285 9.230 90.00 108.57 90.00
Space group C2/m (No. 12)
One atom of each set of equivalent atoms:
Hf  0.084  0.246  0.338 x8
Hf  0.250  0.250  0.000 x4
Pb  0.000  0.500  0.000 x2
O  0.000  0.251  0.500 x4
O  0.080  0.261  0.841 x8
O  0.080  0.500  0.317 x4
O  0.083  0.000  0.333 x4
O  0.159  0.261  0.159 x8
O  0.240  0.500  0.000 x4
O  0.250  0.250  0.500 x4

---

# 7
Structure and theoretical XRD peak list of HfPbO3 (a crystal structure in the Materials Project, relaxed with GGA-PBE; CuKα).
Neutral-atom scattering factors, no anomalous dispersion.

Top 10 peaks for 2θ = 10–80°, low angle first:
d 2.947, 2θ = 30.33°, rel. 47.9
d 2.931, 2θ = 30.50°, rel. 100.0
d 2.084, 2θ = 43.42°, rel. 23.4
d 2.060, 2θ = 43.94°, rel. 12.9
d 1.698, 2θ = 53.99°, rel. 37.0
d 1.689, 2θ = 54.32°, rel. 20.4
d 1.474, 2θ = 63.09°, rel. 6.5
d 1.465, 2θ = 63.49°, rel. 14.3
d 1.317, 2θ = 71.68°, rel. 6.8
d 1.305, 2θ = 72.44°, rel. 9.0

Atomic structure:
Lattice parameters (Å, degrees): 5.897 11.785 8.242 90.00 90.00 90.00
Space group Pbam (No. 55)
One atom of each set of equivalent atoms:
Hf  0.243  0.124  0.250 x8
Pb  0.205  0.375  0.000 x4
Pb  0.210  0.370  0.500 x4
O  0.000  0.000  0.230 x4
O  0.000  0.500  0.209 x4
O  0.025  0.259  0.278 x8
O  0.210  0.598  0.500 x4
O  0.231  0.654  0.000 x4